[1]
The following is a calculated powder diffractogram of Sm3TaO7. It was derived from DFT lattice parameters and positions (GGA-PBE), using Cu Kα (weighted mean of Kα1 and Kα2).
Intensities are scaled so that the largest is 100.

Structure:
Lattice parameters (Å, degrees): 7.665 10.807 7.654 90.00 90.00 90.00
Space group C222_1 (No. 20)
Symmetry-distinct sites (fractional):
Sm1 0.023 0.000 0.000 x4
Sm2 0.233 0.268 0.754 x8
Ta1 0.002 0.500 0.000 x4
O1 0.000 0.130 0.250 x4
O2 0.000 0.136 0.750 x4
O3 0.000 0.439 0.750 x4
O4 0.185 0.374 0.035 x8
O5 0.199 0.378 0.473 x8

Top 8 peaks for 5° ≤ 2θ ≤ 70°, low angle first:
2θ (°), I (rel.), hkl
28.6, 100, 2 2 0
33.1, 35, 2 0 2
42.6, 2, 2 4 1
47.5, 43, 0 0 4
56.4, 28, 2 2 4
56.5, 12, 0 6 2
59.1, 10, 0 4 4
69.4, 4, 4 0 4

***

[2]
The following is a calculated powder diffractogram of SmTaO4. It was derived from DFT lattice parameters and positions (GGA-PBE), using Cu Kα (weighted mean of Kα1 and Kα2).
Intensities are scaled so that the largest is 100.

Structure:
Lattice parameters (Å, degrees): 5.235 5.607 5.428 90.00 96.80 90.00
Space group P2/c (No. 13)
Symmetry-distinct sites (fractional):
Sm1 0.000 0.235 0.250 x2
Ta1 0.500 0.311 0.750 x2
O1 0.253 0.091 0.607 x4
O2 0.273 0.437 0.993 x4

Top 8 peaks for 5° ≤ 2θ ≤ 70°, low angle first:
2θ (°), I (rel.), hkl
27.5, 100, 1 1 -1
29.9, 79, 1 1 1
31.9, 19, 0 2 0
33.2, 25, 0 0 2
34.5, 19, 2 0 0
45.5, 17, 2 0 -2
46.8, 21, 0 2 2
47.7, 21, 2 2 0

***

[3]
The following is a calculated powder diffractogram of SmTaO4. It was derived from DFT lattice parameters and positions (GGA-PBE), using Cu Kα (weighted mean of Kα1 and Kα2).
Intensities are scaled so that the largest is 100.

Structure:
Lattice parameters (Å, degrees): 3.929 14.998 5.552 90.00 90.00 90.00
Space group Cmc2_1 (No. 36)
Symmetry-distinct sites (fractional):
Sm1 0.000 0.183 0.000 x4
Ta1 0.000 0.415 0.942 x4
O1 0.000 0.093 0.400 x4
O2 0.000 0.299 0.729 x4
O3 0.000 0.335 0.215 x4
O4 0.000 0.471 0.596 x4

Top 8 peaks for 5° ≤ 2θ ≤ 70°, low angle first:
2θ (°), I (rel.), hkl
23.4, 21, 1 1 0
28.5, 100, 1 1 1
28.7, 94, 0 4 1
32.2, 32, 0 0 2
37.7, 29, 1 5 0
46.2, 22, 2 0 0
50.5, 36, 1 5 2
55.3, 43, 2 4 1

***

[4]
The following is a calculated powder diffractogram of Sm3TaO7. It was derived from DFT lattice parameters and positions (GGA-PBE), using Cu Kα (weighted mean of Kα1 and Kα2).
Intensities are scaled so that the largest is 100.

Structure:
Lattice parameters (Å, degrees): 7.604 10.793 7.668 90.00 90.00 90.00
Space group Cmcm (No. 63)
Symmetry-distinct sites (fractional):
Sm1 0.000 0.000 0.000 x4
Sm2 0.233 0.267 0.250 x8
Ta1 0.000 0.500 0.000 x4
O1 0.000 0.130 0.750 x4
O2 0.000 0.135 0.250 x4
O3 0.000 0.439 0.250 x4
O4 0.194 0.377 0.531 x16

Top 8 peaks for 5° ≤ 2θ ≤ 70°, low angle first:
2θ (°), I (rel.), hkl
28.6, 99, 0 2 2
28.7, 100, 2 2 0
33.2, 70, 2 0 2
47.4, 17, 0 0 4
47.7, 57, 2 4 2
56.4, 30, 2 2 4
56.6, 25, 0 6 2
56.7, 27, 4 2 2

***

[5]
The following is a calculated powder diffractogram of SmTaO4. It was derived from DFT lattice parameters and positions (GGA-PBE), using Cu Kα (weighted mean of Kα1 and Kα2).
Intensities are scaled so that the largest is 100.

Structure:
Lattice parameters (Å, degrees): 7.154 11.284 5.148 90.00 130.30 90.00
Space group C2/c (No. 15)
Symmetry-distinct sites (fractional):
Sm1 0.000 0.131 0.250 x4
Ta1 0.000 0.400 0.750 x4
O1 0.153 0.293 0.659 x8
O2 0.240 0.468 0.205 x8

Top 8 peaks for 5° ≤ 2θ ≤ 70°, low angle first:
2θ (°), I (rel.), hkl
27.7, 100, 0 2 1
29.6, 83, 2 2 -1
31.7, 22, 0 4 0
32.8, 25, 2 0 0
35.0, 18, 2 0 -2
46.3, 41, 0 0 2
48.0, 23, 2 4 -2
54.4, 17, 2 2 1

***

[6]
The following is a calculated powder diffractogram of Sm3TaO7. It was derived from DFT lattice parameters and positions (GGA-PBE), using Cu Kα (weighted mean of Kα1 and Kα2).
Intensities are scaled so that the largest is 100.

Structure:
Lattice parameters (Å, degrees): 7.597 10.839 7.678 90.00 90.00 90.00
Space group Pnma (No. 62)
Symmetry-distinct sites (fractional):
Sm1 0.012 0.250 0.206 x4
Sm2 0.248 0.022 0.538 x8
Ta1 0.001 0.250 0.749 x4
O1 0.034 0.126 0.950 x8
O2 0.039 0.614 0.413 x8
O3 0.245 0.617 0.769 x8
O4 0.248 0.250 0.675 x4

Top 8 peaks for 5° ≤ 2θ ≤ 70°, low angle first:
2θ (°), I (rel.), hkl
28.5, 93, 0 2 2
28.7, 100, 2 2 0
33.1, 24, 0 4 0
33.2, 46, 2 0 2
47.5, 48, 2 4 2
47.9, 17, 4 0 0
56.3, 26, 0 6 2
56.7, 27, 4 2 2